(1)
For KP4W8O32, a cell relaxed with GGA+U gives the theoretical XRD peak list in this record (Cu Kα, 1.54184 Å).
No peak broadening, texture or thermal motion is included.

```
KP4W8O32
1.0
6.8558 -5.4385 0.0000
6.8558 5.4385 0.0000
-5.1622 0.0000 8.9475
K P W O
1 4 8 32
Direct
0.0000 0.0000 0.0000 K
0.1098 0.6063 0.8706 P
0.2795 0.2795 0.1297 P
0.6063 0.1098 0.8706 P
0.7774 0.7774 0.1308 P
0.1621 0.1621 0.7501 W
0.1815 0.6809 0.5915 W
0.2030 0.2030 0.4079 W
0.2249 0.7221 0.2504 W
0.6624 0.6624 0.7531 W
0.6809 0.1815 0.5915 W
0.7049 0.7049 0.4108 W
0.7221 0.2249 0.2504 W
0.1544 0.4189 0.8384 O
0.1703 0.6730 0.7839 O
0.1737 0.1737 0.5835 O
0.1783 0.9302 0.6929 O
0.1861 0.1861 0.9616 O
0.1964 0.4499 0.5051 O
0.1988 0.7023 0.0385 O
0.2062 0.9522 0.3052 O
0.2114 0.7133 0.4210 O
0.2150 0.2150 0.2140 O
0.2330 0.4677 0.1623 O
0.4189 0.1544 0.8384 O
0.4356 0.6815 0.6927 O
0.4499 0.1964 0.5051 O
0.4535 0.7081 0.3090 O
0.4677 0.2330 0.1623 O
0.6578 0.9205 0.8382 O
0.6730 0.1703 0.7839 O
0.6752 0.6752 0.5768 O
0.6815 0.4356 0.6927 O
0.6855 0.6855 0.9626 O
0.6958 0.9413 0.5007 O
0.7023 0.1988 0.0385 O
0.7081 0.4535 0.3090 O
0.7133 0.2113 0.4210 O
0.7158 0.7158 0.2219 O
0.7324 0.9658 0.1626 O
0.9205 0.6578 0.8382 O
0.9302 0.1783 0.6929 O
0.9413 0.6958 0.5007 O
0.9522 0.2062 0.3052 O
0.9658 0.7324 0.1626 O
```

Main lines, in order of falling intensity (2θ from 10° to 80°):
| 2θ/deg | I (rel.) |
| --- | --- |
| 22.16 | 100.0 |
| 34.32 | 36.4 |
| 25.88 | 36.3 |
| 17.89 | 29.2 |
| 31.24 | 24.8 |
| 27.26 | 23.7 |


(2)
For Li2V4CuNiO12, a cell relaxed with GGA+U gives the theoretical XRD peak list in this record (Cu Kα, 1.54184 Å).
No peak broadening, texture or thermal motion is included.

```
Li2V4CuNiO12
1.0
5.1270 -4.5492 0.0000
5.1270 4.5492 0.0000
-2.0813 0.0000 5.4161
Li V Cu Ni O
2 4 1 1 12
Direct
0.0000 0.0000 0.0000 Li
0.5151 0.4849 0.5000 Li
0.1486 0.4400 0.0194 V
0.3648 0.0439 0.4840 V
0.5600 0.8514 0.9806 V
0.9561 0.6352 0.5160 V
0.8509 0.1491 0.5000 Cu
0.6718 0.3282 0.0000 Ni
0.1074 0.6069 0.8089 O
0.1195 0.6084 0.3134 O
0.1249 0.1497 0.4266 O
0.3916 0.8805 0.6866 O
0.3930 0.3419 0.0773 O
0.3931 0.8926 0.1911 O
0.5428 0.2294 0.6102 O
0.6581 0.6070 0.9227 O
0.7354 0.0424 0.0879 O
0.7706 0.4572 0.3898 O
0.8503 0.8751 0.5734 O
0.9576 0.2646 0.9121 O
```

Main lines, in order of falling intensity (2θ from 10° to 80°):
| 2θ/deg | I (rel.) |
| --- | --- |
| 27.99 | 100.0 |
| 29.67 | 60.1 |
| 33.08 | 40.8 |
| 13.43 | 29.3 |
| 35.19 | 28.4 |
| 23.70 | 27.4 |


(3)
For CrHg3F6, a cell relaxed with GGA+U gives the theoretical XRD peak list in this record (Cu Kα, 1.54184 Å).
No peak broadening, texture or thermal motion is included.

```
CrHg3F6
1.0
5.5098 0.0000 0.0000
2.5983 7.4557 0.0000
1.1653 1.0586 11.3518
Cr Hg F
1 3 6
Direct
0.0000 0.0000 0.0000 Cr
0.0000 0.5000 0.0000 Hg
0.5000 0.0000 0.5000 Hg
0.5000 0.5000 0.0000 Hg
0.0553 0.1550 0.0950 F
0.1490 0.8036 0.1035 F
0.3051 0.9685 0.6507 F
0.6949 0.0315 0.3493 F
0.8510 0.1964 0.8965 F
0.9447 0.8450 0.9050 F
```

Main lines, in order of falling intensity (2θ from 10° to 80°):
| 2θ/deg | I (rel.) |
| --- | --- |
| 15.61 | 100.0 |
| 13.63 | 85.9 |
| 14.85 | 70.2 |
| 23.97 | 35.0 |
| 27.47 | 26.9 |
| 34.53 | 20.7 |


(4)
For MgCo2Bi4O12, a cell relaxed with GGA+U gives the theoretical XRD peak list in this record (Cu Kα, 1.54184 Å).
No peak broadening, texture or thermal motion is included.

```
MgCo2Bi4O12
1.0
4.4124 -3.3851 0.0000
4.4124 3.3851 0.0000
-0.2481 0.0000 9.6369
Mg Co Bi O
1 2 4 12
Direct
0.0000 0.0000 0.0000 Mg
0.2775 0.2775 0.1633 Co
0.6974 0.6974 0.6348 Co
0.1080 0.1080 0.4764 Bi
0.2874 0.2874 0.7990 Bi
0.6655 0.6655 0.9723 Bi
0.6891 0.6891 0.3131 Bi
0.0108 0.3801 0.2994 O
0.3587 0.9922 0.9906 O
0.3801 0.0108 0.2994 O
0.4118 0.9931 0.6391 O
0.5020 0.5020 0.1403 O
0.5376 0.5376 0.7828 O
0.5489 0.5489 0.4840 O
0.8392 0.8392 0.1396 O
0.8511 0.8511 0.8403 O
0.8574 0.8574 0.4861 O
0.9922 0.3587 0.9906 O
0.9931 0.4118 0.6391 O
```

Main lines, in order of falling intensity (2θ from 10° to 80°):
| 2θ/deg | I (rel.) |
| --- | --- |
| 26.33 | 100.0 |
| 20.13 | 95.9 |
| 18.79 | 80.3 |
| 32.26 | 78.8 |
| 32.71 | 70.5 |
| 27.77 | 34.1 |